[1]
Structure and theoretical powder diffraction line list of Li9Mn2Co5O16 (the GGA+U geometry in the Materials Project; copper Kα).

Top 10 peaks for 5° ≤ 2θ ≤ 70°, in order of rising 2θ:
| 2theta | intensity |
| --- | --- |
| 9.13 | 8 |
| 18.33 | 100 |
| 35.27 | 15 |
| 36.17 | 25 |
| 42.64 | 28 |
| 43.87 | 53 |
| 47.49 | 9 |
| 57.78 | 10 |
| 62.75 | 14 |
| 62.92 | 14 |

Lattice parameters (Å, degrees): 9.803 2.896 10.304 90.00 98.98 90.00
Fractional positions:
Li 0.000 0.000 0.000
Li 0.000 0.500 0.259
Li 0.007 0.500 0.768
Li 0.011 0.000 0.514
Li 0.522 0.500 0.012
Li 0.525 0.000 0.258
Li 0.527 0.500 0.515
Li 0.530 0.000 0.785
Li 0.770 0.500 0.888
Mn 0.267 0.000 0.389
Mn 0.769 0.000 0.646
Co 0.263 0.500 0.136
Co 0.264 0.000 0.887
Co 0.268 0.500 0.641
Co 0.758 0.000 0.117
Co 0.767 0.500 0.383
O 0.149 0.500 0.947
O 0.153 0.500 0.438
O 0.157 0.000 0.697
O 0.165 0.000 0.209
O 0.370 0.000 0.566
O 0.372 0.000 0.080
O 0.381 0.500 0.338
O 0.383 0.500 0.830
O 0.644 0.000 0.962
O 0.650 0.500 0.206
O 0.653 0.500 0.692
O 0.657 0.000 0.459
O 0.878 0.500 0.579
O 0.881 0.000 0.807
O 0.883 0.000 0.333
O 0.886 0.500 0.082

[2]
Structure and theoretical powder diffraction line list of LiV3OF11 (the GGA+U geometry in the Materials Project; copper Kα).

Top 10 peaks for 5° ≤ 2θ ≤ 70°, in order of rising 2θ:
| 2theta | intensity |
| --- | --- |
| 16.57 | 100 |
| 19.06 | 18 |
| 20.41 | 90 |
| 21.49 | 18 |
| 24.00 | 56 |
| 28.92 | 22 |
| 29.25 | 19 |
| 31.86 | 22 |
| 35.78 | 20 |
| 49.14 | 19 |

Lattice parameters (Å, degrees): 5.511 6.002 7.022 93.06 103.24 93.26
Fractional positions:
Li 0.000 0.000 0.000
V 0.290 0.607 0.101
V 0.445 0.933 0.675
V 0.588 0.315 0.307
O 0.436 0.788 0.357
F 0.044 0.763 0.127
F 0.128 0.401 0.909
F 0.154 0.990 0.683
F 0.299 0.424 0.352
F 0.365 0.708 0.811
F 0.428 0.102 0.062
F 0.528 0.170 0.563
F 0.580 0.463 0.053
F 0.730 0.919 0.782
F 0.740 0.504 0.528
F 0.847 0.191 0.221